# 1
Structure and calculated powder X-ray diffraction pattern of TbGdS2F2 (DFT lattice parameters and positions (PBE); CuKα).
Lines closer than 0.1° are merged.

The 10 most intense peaks (2θ from 10° to 80°), in order of rising 2θ:
2θ = 26.1°, I = 32, hkl 0 0 2; 2θ = 27.0°, I = 100, hkl 1 0 1; 2θ = 33.6°, I = 50, hkl 1 1 0; 2θ = 35.5°, I = 16, hkl 1 0 2; 2θ = 43.1°, I = 55, hkl 1 1 2; 2θ = 46.6°, I = 34, hkl 1 0 3; 2θ = 48.3°, I = 27, hkl 2 0 0; 2θ = 55.7°, I = 16, hkl 2 0 2; 2θ = 56.2°, I = 28, hkl 2 1 1; 2θ = 69.4°, I = 21, hkl 2 1 3

Crystal structure
```
TbGdS2F2
1.0
3.772 0.000 0.000
0.000 3.772 0.000
0.000 0.000 6.821
Tb Gd S F
1 1 2 2
Direct
0.000 0.000 0.000
0.500 0.500 0.457
0.000 0.000 0.586
0.500 0.500 0.872
0.000 0.500 0.228
0.500 0.000 0.228
```

=====

# 2
Structure and calculated powder X-ray diffraction pattern of SmGdSe2F2 (DFT lattice parameters and positions (PBE); CuKα).
Lines closer than 0.1° are merged.

The 10 most intense peaks (2θ from 10° to 80°), in order of rising 2θ:
2θ = 25.2°, I = 39, hkl 0 0 2; 2θ = 26.0°, I = 58, hkl 1 0 1; 2θ = 32.4°, I = 100, hkl 1 1 0; 2θ = 34.2°, I = 75, hkl 1 0 2; 2θ = 41.5°, I = 69, hkl 1 1 2; 2θ = 44.9°, I = 46, hkl 1 0 3; 2θ = 46.5°, I = 51, hkl 2 0 0; 2θ = 53.6°, I = 20, hkl 2 0 2; 2θ = 58.9°, I = 31, hkl 2 1 2; 2θ = 66.6°, I = 28, hkl 2 1 3

Crystal structure
```
SmGdSe2F2
1.0
3.908 0.000 0.000
0.000 3.908 0.000
0.000 0.000 7.078
Sm Gd Se F
1 1 2 2
Direct
0.000 0.000 0.000
0.500 0.500 0.434
0.000 0.000 0.575
0.500 0.500 0.857
0.000 0.500 0.218
0.500 0.000 0.218
```

=====

# 3
Structure and calculated powder X-ray diffraction pattern of LaPrGeF2 (DFT lattice parameters and positions (PBE); CuKα).
Lines closer than 0.1° are merged.

The 10 most intense peaks (2θ from 10° to 80°), in order of rising 2θ:
2θ = 25.3°, I = 14, hkl 0 0 2; 2θ = 27.7°, I = 100, hkl 0 1 1; 2θ = 35.6°, I = 42, hkl 0 1 2; 2θ = 43.2°, I = 41, hkl 1 1 0; 2θ = 46.1°, I = 35, hkl 1 0 3; 2θ = 50.7°, I = 13, hkl 1 1 2; 2θ = 52.1°, I = 23, hkl 0 0 4; 2θ = 57.1°, I = 11, hkl 2 0 2; 2θ = 65.0°, I = 12, hkl 0 2 3; 2θ = 69.9°, I = 28, hkl 1 1 4

Crystal structure
```
LaPrGeF2
1.0
4.189 0.000 0.000
-2.094 3.628 0.000
0.000 0.000 7.032
La Pr Ge F
1 1 1 2
Direct
0.000 0.000 0.000
0.667 0.333 0.494
0.333 0.667 0.250
0.000 0.000 0.645
0.667 0.333 0.852
```

=====

# 4
Structure and calculated powder X-ray diffraction pattern of Ge2Te2PtF2 (DFT lattice parameters and positions (PBE); CuKα).
Lines closer than 0.1° are merged.

The 10 most intense peaks (2θ from 10° to 80°), in order of rising 2θ:
2θ = 23.1°, I = 26, hkl 1 0 0; 2θ = 25.0°, I = 56, hkl 1 0 1; 2θ = 30.1°, I = 100, hkl 1 0 2; 2θ = 37.3°, I = 23, hkl 1 0 3; 2θ = 38.3°, I = 81, hkl 1 1 2; 2θ = 45.6°, I = 37, hkl 1 0 4; 2θ = 47.2°, I = 42, hkl 2 0 0; 2θ = 51.7°, I = 19, hkl 1 1 4; 2θ = 57.0°, I = 33, hkl 2 1 2; 2θ = 67.7°, I = 22, hkl 2 1 4

Crystal structure
```
Ge2Te2PtF2
1.0
3.850 0.000 0.000
0.000 3.850 0.000
0.000 0.000 9.295
Ge Te Pt F
2 2 1 2
Direct
0.000 0.500 0.154
0.500 0.000 0.846
0.000 0.500 0.688
0.500 0.000 0.312
0.000 0.000 0.500
0.000 0.000 0.000
0.500 0.500 0.000
```

=====

# 5
Structure and calculated powder X-ray diffraction pattern of TbSmGeF2 (DFT lattice parameters and positions (PBE); CuKα).
Lines closer than 0.1° are merged.

The 10 most intense peaks (2θ from 10° to 80°), in order of rising 2θ:
2θ = 26.5°, I = 15, hkl 0 0 2; 2θ = 28.8°, I = 100, hkl 0 1 1; 2θ = 37.1°, I = 39, hkl 0 1 2; 2θ = 44.9°, I = 39, hkl 1 1 0; 2θ = 48.3°, I = 33, hkl 1 0 3; 2θ = 53.0°, I = 13, hkl 1 1 2; 2θ = 54.3°, I = 17, hkl 2 0 1; 2θ = 68.1°, I = 12, hkl 0 2 3; 2θ = 73.0°, I = 15, hkl 1 2 1; 2θ = 73.3°, I = 13, hkl 1 1 4

Crystal structure
```
TbSmGeF2
1.0
4.033 0.000 0.000
-2.017 3.493 0.000
0.000 0.000 6.721
Tb Sm Ge F
1 1 1 2
Direct
0.000 0.000 0.000
0.667 0.333 0.493
0.333 0.667 0.243
0.000 0.000 0.651
0.667 0.333 0.854
```

=====

# 6
Structure and calculated powder X-ray diffraction pattern of ZnInH14O7F5 (DFT lattice parameters and positions (PBE); CuKα).
Lines closer than 0.1° are merged.

The 10 most intense peaks (2θ from 10° to 80°), in order of rising 2θ:
2θ = 18.9°, I = 59, hkl 1 1 -1; 2θ = 19.2°, I = 57, hkl 1 -1 1; 2θ = 19.5°, I = 57, hkl -1 1 1; 2θ = 21.2°, I = 100, hkl 0 2 0; 2θ = 23.8°, I = 35, hkl 1 1 1; 2θ = 26.1°, I = 23, hkl 0 2 -2; 2θ = 28.0°, I = 26, hkl 2 0 0; 2θ = 32.6°, I = 27, hkl 1 1 -3; 2θ = 32.9°, I = 22, hkl 1 -3 1; 2θ = 43.2°, I = 27, hkl 0 2 -4

Crystal structure
```
ZnInH14O7F5
1.0
6.495 0.000 0.000
-0.973 8.670 0.000
-1.203 -2.126 8.395
Zn In H O F
2 2 28 14 10
Direct
0.000 0.000 0.000
0.000 0.500 0.500
0.500 0.000 0.500
0.500 0.500 0.000
0.025 0.307 0.983
0.050 0.321 0.220
0.062 0.037 0.318
0.105 0.356 0.738
0.121 0.235 0.570
0.176 0.763 0.354
0.182 0.984 0.746
0.208 0.751 0.987
0.262 0.433 0.309
0.338 0.729 0.644
0.389 0.706 0.301
0.392 0.556 0.658
0.399 0.143 0.025
0.406 0.053 0.162
0.594 0.947 0.838
0.601 0.857 0.975
0.608 0.444 0.342
0.611 0.294 0.699
0.662 0.271 0.356
0.738 0.567 0.691
0.792 0.249 0.013
0.818 0.016 0.254
0.824 0.237 0.646
0.879 0.765 0.430
0.895 0.644 0.262
0.938 0.963 0.682
0.950 0.679 0.780
0.975 0.693 0.017
0.036 0.315 0.624
0.049 0.018 0.774
0.056 0.758 0.958
0.137 0.371 0.328
0.303 0.613 0.595
0.313 0.069 0.070
0.319 0.802 0.328
0.681 0.198 0.672
0.687 0.931 0.930
0.697 0.387 0.405
0.863 0.629 0.672
0.944 0.242 0.042
0.951 0.982 0.226
0.964 0.685 0.376
0.179 0.424 0.919
0.233 0.110 0.480
0.393 0.920 0.691
0.447 0.732 0.018
0.461 0.535 0.242
0.539 0.465 0.758
0.553 0.268 0.982
0.607 0.080 0.309
0.767 0.890 0.520
0.821 0.576 0.081
```